For NaMn2FeAgP3O12, a DFT-relaxed cell (PBE+U, the Materials Project) gives the simulated powder X-ray diffraction pattern in this record (Cu Kα X-rays).
Peak positions follow from Bragg's law for the DFT cell and can differ from measured ones.

Largest 8 diffraction maxima, by intensity, 2θ = 5–70°:
2θ/deg	intensity
32.16	100.0
10.51	55.7
34.59	36.1
30.38	34.9
34.72	21.9
29.76	18.8
31.91	18.3
22.23	17.3

Atomic structure:
```
data_NaMn2FeAgP3O12
_chemical_formula_sum 'Na2 Mn4 Fe2 Ag2 P6 O24'
_cell_length_a 8.8687
_cell_length_b 8.8687
_cell_length_c 6.5926
_cell_angle_alpha 106.53
_cell_angle_beta 106.53
_cell_angle_gamma 92.93
_space_group_name_H-M_alt 'P 1'
_space_group_IT_number 1
loop_
_space_group_symop_operation_xyz
'x,y,z'
loop_
_atom_site_label
_atom_site_fract_x
_atom_site_fract_y
_atom_site_fract_z
_atom_site_occupancy
Na1 0.0001 0.0001 0.2488 1
Na2 0.9999 0.9999 0.7512 1
Mn1 0.1265 0.4333 0.1124 1
Mn2 0.2347 0.7653 0.0000 1
Mn3 0.5667 0.8735 0.8876 1
Mn4 0.7704 0.2296 0.5000 1
Fe1 0.4366 0.1181 0.6168 1
Fe2 0.8819 0.5634 0.3832 1
Ag1 0.4859 0.5141 0.5000 1
Ag2 0.5107 0.4893 0.0000 1
P1 0.1515 0.3694 0.6190 1
P2 0.2122 0.7878 0.5000 1
P3 0.3735 0.1514 0.1208 1
P4 0.6306 0.8485 0.3810 1
P5 0.7860 0.2140 0.0000 1
P6 0.8486 0.6265 0.8792 1
O1 0.0277 0.2267 0.5755 1
O2 0.0359 0.7612 0.4971 1
O3 0.0922 0.4499 0.4340 1
O4 0.1812 0.4988 0.8483 1
O5 0.2271 0.0300 0.0690 1
O6 0.2388 0.9641 0.5029 1
O7 0.2417 0.6802 0.2884 1
O8 0.3173 0.3110 0.6186 1
O9 0.3198 0.7583 0.7116 1
O10 0.3373 0.3249 0.1451 1
O11 0.4496 0.1026 0.9296 1
O12 0.4977 0.1576 0.3505 1
O13 0.5012 0.8188 0.1517 1
O14 0.5501 0.9078 0.5660 1
O15 0.6635 0.2359 0.7855 1
O16 0.6751 0.6627 0.8549 1
O17 0.6890 0.6827 0.3814 1
O18 0.7635 0.0493 0.0264 1
O19 0.7641 0.3365 0.2145 1
O20 0.7733 0.9723 0.4245 1
O21 0.8424 0.5023 0.6495 1
O22 0.8974 0.5504 0.0704 1
O23 0.9507 0.2365 0.9736 1
O24 0.9700 0.7729 0.9310 1
```


For Mn5CuO12, a DFT-relaxed cell (PBE+U, the Materials Project) gives the simulated powder X-ray diffraction pattern in this record (Cu Kα X-rays).
Peak positions follow from Bragg's law for the DFT cell and can differ from measured ones.

Largest 8 diffraction maxima, by intensity, 2θ = 5–70°:
2θ/deg	intensity
18.36	100.0
36.57	28.5
45.44	15.1
60.14	14.9
40.11	14.8
45.49	14.0
64.36	7.4
64.32	7.4

Atomic structure:
```
data_Mn5CuO12
_chemical_formula_sum 'Mn5 Cu1 O12'
_cell_length_a 5.0813
_cell_length_b 5.0813
_cell_length_c 9.6663
_cell_angle_alpha 90.07
_cell_angle_beta 90.07
_cell_angle_gamma 120.16
_space_group_name_H-M_alt 'P 1'
_space_group_IT_number 1
loop_
_space_group_symop_operation_xyz
'x,y,z'
loop_
_atom_site_label
_atom_site_fract_x
_atom_site_fract_y
_atom_site_fract_z
_atom_site_occupancy
Mn1 0.0000 0.0000 0.0000 1
Mn2 0.1669 0.8331 0.5000 1
Mn3 0.3334 0.6666 0.0000 1
Mn4 0.6666 0.3334 0.0000 1
Mn5 0.8331 0.1669 0.5000 1
Cu1 0.5000 0.5000 0.5000 1
O1 0.0002 0.3336 0.0993 1
O2 0.9998 0.6664 0.9007 1
O3 0.1634 0.5004 0.5999 1
O4 0.1664 0.1664 0.4012 1
O5 0.3330 0.3330 0.9008 1
O6 0.3336 0.0002 0.0993 1
O7 0.5004 0.1634 0.5999 1
O8 0.4996 0.8366 0.4001 1
O9 0.6664 0.9998 0.9007 1
O10 0.6670 0.6670 0.0992 1
O11 0.8336 0.8336 0.5988 1
O12 0.8366 0.4996 0.4001 1
```


For Ca2MnNb2O8, a DFT-relaxed cell (PBE+U, the Materials Project) gives the simulated powder X-ray diffraction pattern in this record (Cu Kα X-rays).
Peak positions follow from Bragg's law for the DFT cell and can differ from measured ones.

Largest 8 diffraction maxima, by intensity, 2θ = 5–70°:
2θ/deg	intensity
31.10	100.0
31.91	80.6
32.46	79.7
26.95	66.7
32.36	57.0
48.97	49.7
57.76	44.8
19.59	36.2

Atomic structure:
```
data_Ca2MnNb2O8
_chemical_formula_sum 'Ca4 Mn2 Nb4 O16'
_cell_length_a 10.1973
_cell_length_b 10.1973
_cell_length_c 5.5366
_cell_angle_alpha 91.82
_cell_angle_beta 91.82
_cell_angle_gamma 36.35
_space_group_name_H-M_alt 'P 1'
_space_group_IT_number 1
loop_
_space_group_symop_operation_xyz
'x,y,z'
loop_
_atom_site_label
_atom_site_fract_x
_atom_site_fract_y
_atom_site_fract_z
_atom_site_occupancy
Ca1 0.0232 0.3903 0.2430 1
Ca2 0.3903 0.0232 0.7430 1
Ca3 0.6097 0.9768 0.2570 1
Ca4 0.9768 0.6097 0.7570 1
Mn1 0.1519 0.8481 0.7500 1
Mn2 0.8481 0.1519 0.2500 1
Nb1 0.2337 0.5380 0.2462 1
Nb2 0.4620 0.7663 0.2538 1
Nb3 0.5380 0.2337 0.7462 1
Nb4 0.7663 0.4620 0.7538 1
O1 0.0390 0.3292 0.8446 1
O2 0.0919 0.7908 0.4098 1
O3 0.2092 0.9081 0.0902 1
O4 0.2562 0.3768 0.4973 1
O5 0.3049 0.5503 0.9159 1
O6 0.3292 0.0390 0.3446 1
O7 0.3768 0.2562 0.9973 1
O8 0.4497 0.6951 0.5841 1
O9 0.5503 0.3049 0.4159 1
O10 0.6232 0.7438 0.0027 1
O11 0.6708 0.9610 0.6554 1
O12 0.6951 0.4497 0.0841 1
O13 0.7438 0.6232 0.5027 1
O14 0.7908 0.0919 0.9098 1
O15 0.9081 0.2092 0.5902 1
O16 0.9610 0.6708 0.1554 1
```


For LiFePO5, a DFT-relaxed cell (PBE+U, the Materials Project) gives the simulated powder X-ray diffraction pattern in this record (Cu Kα X-rays).
Peak positions follow from Bragg's law for the DFT cell and can differ from measured ones.

Largest 8 diffraction maxima, by intensity, 2θ = 5–70°:
2θ/deg	intensity
27.64	100.0
18.13	21.9
23.74	17.6
57.07	13.9
57.32	12.3
26.86	12.1
38.64	11.8
43.75	10.1

Atomic structure:
```
data_LiFePO5
_chemical_formula_sum 'Li4 Fe4 P4 O20'
_cell_length_a 7.1482
_cell_length_b 6.4577
_cell_length_c 7.4950
_cell_angle_alpha 90.00
_cell_angle_beta 90.00
_cell_angle_gamma 90.00
_space_group_name_H-M_alt 'P 1'
_space_group_IT_number 1
loop_
_space_group_symop_operation_xyz
'x,y,z'
loop_
_atom_site_label
_atom_site_fract_x
_atom_site_fract_y
_atom_site_fract_z
_atom_site_occupancy
Li1 0.0000 0.0000 0.0000 1
Li2 0.0000 0.5000 0.0000 1
Li3 0.5000 0.0000 0.5000 1
Li4 0.5000 0.5000 0.5000 1
Fe1 0.1433 0.2500 0.2717 1
Fe2 0.3567 0.7500 0.7717 1
Fe3 0.6433 0.2500 0.2283 1
Fe4 0.8567 0.7500 0.7283 1
P1 0.1251 0.7500 0.3731 1
P2 0.3749 0.2500 0.8731 1
P3 0.6251 0.7500 0.1269 1
P4 0.8749 0.2500 0.6269 1
O1 0.0562 0.2500 0.5171 1
O2 0.1047 0.7500 0.8337 1
O3 0.1301 0.5604 0.2461 1
O4 0.1301 0.9396 0.2461 1
O5 0.1994 0.2500 0.9962 1
O6 0.3006 0.7500 0.4962 1
O7 0.3699 0.0604 0.7461 1
O8 0.3699 0.4396 0.7461 1
O9 0.3953 0.2500 0.3337 1
O10 0.4438 0.7500 0.0171 1
O11 0.5562 0.2500 0.9829 1
O12 0.6047 0.7500 0.6663 1
O13 0.6301 0.5604 0.2539 1
O14 0.6301 0.9396 0.2539 1
O15 0.6994 0.2500 0.5038 1
O16 0.8006 0.7500 0.0038 1
O17 0.8699 0.0604 0.7539 1
O18 0.8699 0.4396 0.7539 1
O19 0.8953 0.2500 0.1663 1
O20 0.9438 0.7500 0.4829 1
```


For Li9Mn2Co5O16, a DFT-relaxed cell (PBE+U, the Materials Project) gives the simulated powder X-ray diffraction pattern in this record (Cu Kα X-rays).
Peak positions follow from Bragg's law for the DFT cell and can differ from measured ones.

Largest 8 diffraction maxima, by intensity, 2θ = 5–70°:
2θ/deg	intensity
18.35	100.0
42.80	29.1
43.88	26.8
43.99	26.7
36.21	26.1
63.21	15.0
35.47	14.3
62.68	7.7

Atomic structure:
```
data_Li9Mn2Co5O16
_chemical_formula_sum 'Li9 Mn2 Co5 O16'
_cell_length_a 5.8832
_cell_length_b 6.5332
_cell_length_c 7.7769
_cell_angle_alpha 89.31
_cell_angle_beta 80.49
_cell_angle_gamma 77.02
_space_group_name_H-M_alt 'P 1'
_space_group_IT_number 1
loop_
_space_group_symop_operation_xyz
'x,y,z'
loop_
_atom_site_label
_atom_site_fract_x
_atom_site_fract_y
_atom_site_fract_z
_atom_site_occupancy
Li1 0.0000 0.0000 0.0000 1
Li2 0.1175 0.8749 0.6339 1
Li3 0.1205 0.3671 0.1215 1
Li4 0.3571 0.6319 0.8820 1
Li5 0.3768 0.1244 0.3723 1
Li6 0.6232 0.8756 0.6277 1
Li7 0.6429 0.3681 0.1180 1
Li8 0.8795 0.6329 0.8785 1
Li9 0.8825 0.1251 0.3661 1
Mn1 0.0000 0.5000 0.5000 1
Mn2 0.5000 0.0000 0.0000 1
Co1 0.2434 0.2475 0.7556 1
Co2 0.2453 0.7539 0.2413 1
Co3 0.5000 0.5000 0.5000 1
Co4 0.7547 0.2461 0.7587 1
Co5 0.7566 0.7525 0.2444 1
O1 0.0538 0.2052 0.5637 1
O2 0.0656 0.6885 0.0789 1
O3 0.1732 0.5522 0.6823 1
O4 0.2139 0.0515 0.1765 1
O5 0.3005 0.4474 0.3382 1
O6 0.3181 0.9552 0.8186 1
O7 0.4428 0.2957 0.9391 1
O8 0.4471 0.7855 0.4248 1
O9 0.5529 0.2145 0.5752 1
O10 0.5572 0.7043 0.0609 1
O11 0.6819 0.0448 0.1814 1
O12 0.6995 0.5526 0.6618 1
O13 0.7861 0.9485 0.8235 1
O14 0.8268 0.4478 0.3177 1
O15 0.9344 0.3115 0.9211 1
O16 0.9462 0.7948 0.4363 1
```


For MnOF, a DFT-relaxed cell (PBE+U, the Materials Project) gives the simulated powder X-ray diffraction pattern in this record (Cu Kα X-rays).
Peak positions follow from Bragg's law for the DFT cell and can differ from measured ones.

Largest 8 diffraction maxima, by intensity, 2θ = 5–70°:
2θ/deg	intensity
26.88	100.0
52.49	58.0
34.41	53.4
66.87	19.9
39.56	18.3
55.40	16.4
65.92	11.6
58.93	9.3

Atomic structure:
```
data_MnOF
_chemical_formula_sum 'Mn8 O8 F8'
_cell_length_a 7.8290
_cell_length_b 7.8290
_cell_length_c 4.6915
_cell_angle_alpha 90.05
_cell_angle_beta 90.05
_cell_angle_gamma 106.40
_space_group_name_H-M_alt 'P 1'
_space_group_IT_number 1
loop_
_space_group_symop_operation_xyz
'x,y,z'
loop_
_atom_site_label
_atom_site_fract_x
_atom_site_fract_y
_atom_site_fract_z
_atom_site_occupancy
Mn1 0.0000 0.0000 0.0000 1
Mn2 0.1071 0.3733 0.4471 1
Mn3 0.2530 0.7549 0.9178 1
Mn4 0.3733 0.1071 0.4471 1
Mn5 0.4803 0.4803 0.8889 1
Mn6 0.6200 0.8543 0.4507 1
Mn7 0.7549 0.2530 0.9178 1
Mn8 0.8543 0.6200 0.4507 1
O1 0.2241 0.9690 0.1389 1
O2 0.2621 0.5252 0.7370 1
O3 0.4095 0.8948 0.6262 1
O4 0.5252 0.2621 0.7370 1
O5 0.6367 0.6367 0.6446 1
O6 0.8318 0.8318 0.2699 1
O7 0.8948 0.4095 0.6262 1
O8 0.9690 0.2241 0.1389 1
F1 0.0114 0.7856 0.7570 1
F2 0.0852 0.6101 0.2270 1
F3 0.1437 0.1437 0.6422 1
F4 0.3397 0.3397 0.2409 1
F5 0.4671 0.7011 0.1350 1
F6 0.6101 0.0852 0.2270 1
F7 0.7011 0.4671 0.1350 1
F8 0.7856 0.0114 0.7570 1
```


For Ca2TaMnO6, a DFT-relaxed cell (PBE+U, the Materials Project) gives the simulated powder X-ray diffraction pattern in this record (Cu Kα X-rays).
Peak positions follow from Bragg's law for the DFT cell and can differ from measured ones.

Largest 8 diffraction maxima, by intensity, 2θ = 5–70°:
2θ/deg	intensity
31.82	100.0
32.91	90.0
23.11	84.9
15.47	51.5
21.61	51.3
31.23	51.1
16.09	48.4
32.51	43.3

Atomic structure:
```
data_Ca2TaMnO6
_chemical_formula_sum 'Ca4 Ta2 Mn2 O12'
_cell_length_a 5.5213
_cell_length_b 7.7088
_cell_length_c 5.7415
_cell_angle_alpha 90.00
_cell_angle_beta 93.89
_cell_angle_gamma 90.00
_space_group_name_H-M_alt 'P 1'
_space_group_IT_number 1
loop_
_space_group_symop_operation_xyz
'x,y,z'
loop_
_atom_site_label
_atom_site_fract_x
_atom_site_fract_y
_atom_site_fract_z
_atom_site_occupancy
Ca1 0.0060 0.2500 0.4337 1
Ca2 0.4820 0.2500 0.9526 1
Ca3 0.5180 0.7500 0.0474 1
Ca4 0.9940 0.7500 0.5663 1
Ta1 0.5000 0.0000 0.5000 1
Ta2 0.5000 0.5000 0.5000 1
Mn1 0.0000 0.0000 0.0000 1
Mn2 0.0000 0.5000 0.0000 1
O1 0.0951 0.7500 0.9721 1
O2 0.2192 0.0485 0.6852 1
O3 0.2192 0.4515 0.6852 1
O4 0.2981 0.0483 0.2028 1
O5 0.2981 0.4516 0.2028 1
O6 0.4023 0.7500 0.4720 1
O7 0.5977 0.2500 0.5280 1
O8 0.7019 0.5484 0.7972 1
O9 0.7019 0.9516 0.7972 1
O10 0.7808 0.5485 0.3148 1
O11 0.7808 0.9515 0.3148 1
O12 0.9049 0.2500 0.0279 1
```